Diffraction record for ThMnFe10. The PXRD pattern is calculated, not measured: it uses DFT lattice parameters and positions (PBE) and Cu Kα, 1.54184 Å.

Most intense lines, 2θ = 10–80°, low angle first:
(1 1 1), 30.66 deg, intensity 51; (0 2 0), 36.85 deg, intensity 31; (0 0 4), 42.81 deg, intensity 35; (1 2 0), 43.36 deg, intensity 100; (2 0 0), 44.99 deg, intensity 28; (2 0 4), 63.84 deg, intensity 20

Atomic structure:
```
data_ThMnFe10
_chemical_formula_sum 'Th1 Mn1 Fe10'
_space_group_name_H-M_alt 'P m m m'
_space_group_IT_number 47
_space_group_name_Hall '-P 2 2'
_cell_length_a 4.029
_cell_length_b 4.876
_cell_length_c 8.455
_cell_angle_alpha 90.00
_cell_angle_beta 90.00
_cell_angle_gamma 90.00
loop_
_atom_site_label
_atom_site_type_symbol
_atom_site_fract_x
_atom_site_fract_y
_atom_site_fract_z
Th1 Th 0.000 0.000 0.000
Mn1 Mn 0.000 0.500 0.500
Fe1 Fe 0.000 0.000 0.345
Fe2 Fe 0.000 0.500 0.183
Fe3 Fe 0.500 0.000 0.500
Fe4 Fe 0.500 0.254 0.262
Fe5 Fe 0.500 0.500 0.000
```